# Nd12Ni5Hg
Computed powder diffractogram, Cu Kα. Input: a cell relaxed with PBE.

Main lines, most intense first (2θ = 10–90°):
- d = 2.675 Å, 2θ = 33.50°, intensity 100
- d = 2.863 Å, 2θ = 31.24°, intensity 69
- d = 3.048 Å, 2θ = 29.30°, intensity 28
- d = 2.604 Å, 2θ = 34.44°, intensity 27
- d = 3.160 Å, 2θ = 28.24°, intensity 25
- d = 1.581 Å, 2θ = 58.36°, intensity 25
- d = 2.399 Å, 2θ = 37.48°, intensity 20
- d = 1.620 Å, 2θ = 56.85°, intensity 16
- d = 3.209 Å, 2θ = 27.80°, intensity 15
- d = 1.740 Å, 2θ = 52.59°, intensity 15

Cell and atoms:
Cell: 9.603 9.969 10.213 Å, 90.00 90.00 90.00°
Space group Immm (No. 71)
Unique sites:
Nd 0.000 0.189 0.210
Nd 0.195 0.500 0.176
Nd 0.203 0.321 0.500
Ni 0.000 0.000 0.000
Ni 0.000 0.367 0.000
Ni 0.000 0.500 0.376
Hg 0.000 0.000 0.500